Structure and theoretical powder X-ray diffraction pattern of PmYPt (DFT lattice parameters and positions (GGA-PBE); Cu Kα).

Structural model:
```
PmYPt
1.0
7.0904 0.0000 0.0000
0.0000 5.8235 0.0000
-6.7577 0.0000 8.5395
Pm Y Pt
4 4 4
Cartesian
-1.1725 0.8634 3.2116 Pm
-4.5514 2.0483 7.4813 Pm
4.8840 3.7752 1.0582 Pm
1.5052 4.9600 5.3279 Pm
-1.9697 3.6728 5.3632 Y
1.4092 5.0625 1.0935 Y
-1.0765 0.7610 7.4460 Y
2.3024 2.1507 3.1763 Y
-0.1530 3.8314 3.1151 Pt
-3.5319 4.9039 7.3848 Pt
3.8646 0.9196 1.1546 Pt
0.4857 1.9921 5.4243 Pt
```

Top 10 peaks for 10° ≤ 2θ ≤ 90°, in order of rising 2θ:
2θ/deg  intensity
16.6  100
32.2  36
33.3  55
33.5  47
35.8  47
37.0  52
39.3  34
39.8  36
41.2  38
42.3  57

---

Structure and theoretical powder X-ray diffraction pattern of PuCu2F11 (DFT lattice parameters and positions (GGA-PBE); Cu Kα).

Structural model:
```
PuCu2F11
1.0
7.8822 -3.0188 0.0000
7.8822 3.0188 0.0000
-6.8835 0.0000 9.1692
Pu Cu F
2 4 22
Cartesian
2.7195 2.1328 6.8769 Pu
6.1613 -2.1328 2.2923 Pu
-1.8725 0.6530 7.8972 Cu
1.5693 -0.6530 3.3126 Cu
7.3115 0.6530 5.8566 Cu
10.7533 -0.6530 1.2720 Cu
3.9411 1.5094 0.0000 F
-3.5214 0.5069 6.8736 F
2.7757 2.1812 4.8908 F
2.3088 0.6751 2.3037 F
-0.0797 -0.5069 2.2890 F
2.6634 2.1812 8.8630 F
-0.4983 0.6922 9.0103 F
1.3009 0.7268 6.7305 F
-1.1330 -0.6751 6.8883 F
4.1381 0.7268 7.0233 F
5.9374 0.6922 4.7435 F
0.4993 -1.5094 4.5846 F
2.9434 -0.6922 4.4257 F
4.7427 -0.7268 2.1459 F
10.0138 0.6751 2.2809 F
7.5799 -0.7268 2.4387 F
9.3791 -0.6922 0.1589 F
6.2174 -2.1812 0.3062 F
8.9605 0.5069 6.8802 F
6.5720 -0.6751 6.8655 F
6.1051 -2.1812 4.2784 F
12.4022 -0.5069 2.2956 F
```

Top 10 peaks for 10° ≤ 2θ ≤ 90°, in order of rising 2θ:
2θ/deg  intensity
15.7  35
16.3  33
16.6  28
19.4  49
21.0  79
21.9  64
22.7  100
27.9  36
28.3  23
31.8  44

---

Structure and theoretical powder X-ray diffraction pattern of Pm7Sm3In (DFT lattice parameters and positions (GGA-PBE); Cu Kα).

Structural model:
```
Pm7Sm3In
1.0
7.1081 0.0000 0.0000
-3.5541 6.1558 0.0000
0.0000 0.0000 8.6821
Pm Sm In
7 3 1
Cartesian
0.0000 0.0000 0.0000 Pm
0.0000 2.0231 2.9254 Pm
-1.8020 5.1442 2.9254 Pm
3.5541 0.0272 0.1066 Pm
1.8006 3.0643 0.1066 Pm
1.8020 5.1442 2.9254 Pm
5.3075 3.0643 0.1066 Pm
1.7770 1.0260 5.8148 Sm
5.3311 1.0260 5.8148 Sm
3.5541 4.1039 5.8148 Sm
3.5541 2.0519 2.9715 In
```

Top 10 peaks for 10° ≤ 2θ ≤ 90°, in order of rising 2θ:
2θ/deg  intensity
17.7  6
30.8  100
35.8  51
51.5  35
61.2  32
61.3  10
64.2  9
83.9  9
86.6  8
86.8  8